# 1
Structure and computed PXRD pattern of Er2HfSe4 (the PBE geometry in Alexandria; Cu Ka).
Neutral-atom scattering factors, no anomalous dispersion.

Atomic structure:
```
data_Er2HfSe4
_chemical_formula_sum 'Er2 Hf1 Se4'
_cell_length_a 7.500
_cell_length_b 7.500
_cell_length_c 7.050
_cell_angle_alpha 117.91
_cell_angle_beta 117.91
_cell_angle_gamma 30.77
_space_group_name_H-M_alt 'P 1'
_space_group_IT_number 1
loop_
_space_group_symop_operation_xyz
'x,y,z'
loop_
_atom_site_label
_atom_site_type_symbol
_atom_site_fract_x
_atom_site_fract_y
_atom_site_fract_z
Er1 Er 0.241 0.241 0.254
Er2 Er 0.759 0.759 0.746
Hf1 Hf 0.500 0.500 0.500
Se1 Se 0.122 0.122 0.780
Se2 Se 0.385 0.385 0.707
Se3 Se 0.615 0.615 0.293
Se4 Se 0.878 0.878 0.220
```

Largest 8 diffraction maxima, sorted by position, 5 to 70 degrees two-theta:
| Position (°2θ) | I (rel.) |
| --- | --- |
| 14.38 | 378 |
| 25.71 | 408 |
| 28.98 | 261 |
| 29.40 | 494 |
| 38.25 | 512 |
| 38.55 | 1000 |
| 44.79 | 501 |
| 60.98 | 262 |


# 2
Structure and computed PXRD pattern of Er7Tm12Hf (the PBE geometry in Alexandria; Cu Ka).
Neutral-atom scattering factors, no anomalous dispersion.

Atomic structure:
```
data_Er7Tm12Hf
_chemical_formula_sum 'Er7 Tm12 Hf1'
_cell_length_a 8.512
_cell_length_b 8.512
_cell_length_c 8.512
_cell_angle_alpha 94.70
_cell_angle_beta 94.70
_cell_angle_gamma 94.70
_space_group_name_H-M_alt 'P 1'
_space_group_IT_number 1
loop_
_space_group_symop_operation_xyz
'x,y,z'
loop_
_atom_site_label
_atom_site_type_symbol
_atom_site_fract_x
_atom_site_fract_y
_atom_site_fract_z
Er1 Er 0.000 0.000 0.000
Er2 Er 0.154 0.419 0.482
Er3 Er 0.419 0.482 0.154
Er4 Er 0.482 0.154 0.419
Er5 Er 0.518 0.846 0.581
Er6 Er 0.581 0.518 0.846
Er7 Er 0.846 0.581 0.518
Tm1 Tm 0.019 0.085 0.352
Tm2 Tm 0.085 0.352 0.019
Tm3 Tm 0.185 0.750 0.313
Tm4 Tm 0.250 0.687 0.815
Tm5 Tm 0.313 0.185 0.750
Tm6 Tm 0.352 0.019 0.085
Tm7 Tm 0.648 0.981 0.915
Tm8 Tm 0.687 0.815 0.250
Tm9 Tm 0.750 0.313 0.185
Tm10 Tm 0.815 0.250 0.687
Tm11 Tm 0.915 0.648 0.981
Tm12 Tm 0.981 0.915 0.648
Hf1 Hf 0.500 0.500 0.500
```

Largest 8 diffraction maxima, sorted by position, 5 to 70 degrees two-theta:
| Position (°2θ) | I (rel.) |
| --- | --- |
| 27.72 | 208 |
| 30.45 | 627 |
| 31.25 | 416 |
| 32.60 | 1000 |
| 40.03 | 168 |
| 40.18 | 175 |
| 43.21 | 184 |
| 56.84 | 151 |


# 3
Structure and computed PXRD pattern of YEr14Hf (the PBE geometry in Alexandria; Cu Ka).
Neutral-atom scattering factors, no anomalous dispersion.

Atomic structure:
```
data_YEr14Hf
_chemical_formula_sum 'Y1 Er14 Hf1'
_cell_length_a 11.020
_cell_length_b 7.128
_cell_length_c 7.128
_cell_angle_alpha 60.02
_cell_angle_beta 90.00
_cell_angle_gamma 90.00
_space_group_name_H-M_alt 'P 1'
_space_group_IT_number 1
loop_
_space_group_symop_operation_xyz
'x,y,z'
loop_
_atom_site_label
_atom_site_type_symbol
_atom_site_fract_x
_atom_site_fract_y
_atom_site_fract_z
Y1 Y 0.000 0.000 0.000
Er1 Er 0.000 0.503 0.999
Er2 Er 0.000 0.999 0.503
Er3 Er 0.243 0.337 0.337
Er4 Er 0.244 0.338 0.828
Er5 Er 0.244 0.828 0.338
Er6 Er 0.253 0.834 0.834
Er7 Er 0.500 0.001 0.001
Er8 Er 0.500 0.001 0.500
Er9 Er 0.500 0.500 0.001
Er10 Er 0.500 0.501 0.501
Er11 Er 0.747 0.834 0.834
Er12 Er 0.756 0.338 0.828
Er13 Er 0.756 0.828 0.338
Er14 Er 0.757 0.337 0.337
Hf1 Hf 0.000 0.501 0.501
```

Largest 8 diffraction maxima, sorted by position, 5 to 70 degrees two-theta:
| Position (°2θ) | I (rel.) |
| --- | --- |
| 28.93 | 241 |
| 32.50 | 235 |
| 33.27 | 1000 |
| 44.06 | 153 |
| 51.26 | 199 |
| 58.47 | 197 |
| 62.02 | 222 |
| 62.49 | 164 |


# 4
Structure and computed PXRD pattern of ErHf2Zr7 (the PBE geometry in Alexandria; Cu Ka).
Neutral-atom scattering factors, no anomalous dispersion.

Atomic structure:
```
data_ErHf2Zr7
_chemical_formula_sum 'Er1 Hf2 Zr7'
_cell_length_a 4.968
_cell_length_b 6.316
_cell_length_c 8.525
_cell_angle_alpha 68.35
_cell_angle_beta 73.15
_cell_angle_gamma 89.94
_space_group_name_H-M_alt 'P 1'
_space_group_IT_number 1
loop_
_space_group_symop_operation_xyz
'x,y,z'
loop_
_atom_site_label
_atom_site_type_symbol
_atom_site_fract_x
_atom_site_fract_y
_atom_site_fract_z
Er1 Er 0.000 0.000 0.000
Hf1 Hf 0.201 0.701 0.597
Hf2 Hf 0.799 0.299 0.403
Zr1 Zr 0.000 0.500 0.000
Zr2 Zr 0.205 0.205 0.590
Zr3 Zr 0.394 0.151 0.213
Zr4 Zr 0.395 0.636 0.213
Zr5 Zr 0.605 0.364 0.787
Zr6 Zr 0.606 0.849 0.787
Zr7 Zr 0.795 0.795 0.410
```

Largest 8 diffraction maxima, sorted by position, 5 to 70 degrees two-theta:
| Position (°2θ) | I (rel.) |
| --- | --- |
| 25.70 | 134 |
| 34.17 | 786 |
| 34.83 | 1000 |
| 36.16 | 459 |
| 37.16 | 388 |
| 52.78 | 138 |
| 52.86 | 140 |
| 69.91 | 190 |


# 5
Structure and computed PXRD pattern of Er3Hg4 (the PBE geometry in Alexandria; Cu Ka).
Neutral-atom scattering factors, no anomalous dispersion.

Atomic structure:
```
data_Er3Hg4
_chemical_formula_sum 'Er6 Hg8'
_cell_length_a 7.775
_cell_length_b 7.775
_cell_length_c 7.775
_cell_angle_alpha 109.47
_cell_angle_beta 109.47
_cell_angle_gamma 109.47
_space_group_name_H-M_alt 'P 1'
_space_group_IT_number 1
loop_
_space_group_symop_operation_xyz
'x,y,z'
loop_
_atom_site_label
_atom_site_type_symbol
_atom_site_fract_x
_atom_site_fract_y
_atom_site_fract_z
Er1 Er 0.125 0.875 0.250
Er2 Er 0.250 0.125 0.875
Er3 Er 0.375 0.625 0.750
Er4 Er 0.625 0.750 0.375
Er5 Er 0.750 0.375 0.625
Er6 Er 0.875 0.250 0.125
Hg1 Hg 0.000 0.166 0.500
Hg2 Hg 0.000 0.666 0.500
Hg3 Hg 0.166 0.500 0.000
Hg4 Hg 0.334 0.334 0.334
Hg5 Hg 0.500 0.000 0.166
Hg6 Hg 0.500 0.000 0.666
Hg7 Hg 0.666 0.500 0.000
Hg8 Hg 0.834 0.834 0.834
```

Largest 8 diffraction maxima, sorted by position, 5 to 70 degrees two-theta:
| Position (°2θ) | I (rel.) |
| --- | --- |
| 24.28 | 121 |
| 31.51 | 1000 |
| 37.48 | 921 |
| 45.16 | 120 |
| 49.75 | 233 |
| 51.93 | 152 |
| 63.92 | 293 |
| 67.62 | 174 |


# 6
Structure and computed PXRD pattern of Er3Hg4 (the PBE geometry in Alexandria; Cu Ka).
Neutral-atom scattering factors, no anomalous dispersion.

Atomic structure:
```
data_Er3Hg4
_chemical_formula_sum 'Er3 Hg4'
_cell_length_a 9.077
_cell_length_b 9.077
_cell_length_c 9.077
_cell_angle_alpha 32.34
_cell_angle_beta 32.34
_cell_angle_gamma 32.34
_space_group_name_H-M_alt 'P 1'
_space_group_IT_number 1
loop_
_space_group_symop_operation_xyz
'x,y,z'
loop_
_atom_site_label
_atom_site_type_symbol
_atom_site_fract_x
_atom_site_fract_y
_atom_site_fract_z
Er1 Er 0.000 0.000 0.000
Er2 Er 0.245 0.245 0.245
Er3 Er 0.755 0.755 0.755
Hg1 Hg 0.127 0.127 0.127
Hg2 Hg 0.375 0.375 0.375
Hg3 Hg 0.625 0.625 0.625
Hg4 Hg 0.873 0.873 0.873
```

Largest 8 diffraction maxima, sorted by position, 5 to 70 degrees two-theta:
| Position (°2θ) | I (rel.) |
| --- | --- |
| 20.59 | 79 |
| 24.58 | 132 |
| 34.56 | 1000 |
| 35.51 | 947 |
| 50.39 | 349 |
| 61.29 | 184 |
| 63.16 | 357 |
| 63.77 | 176 |


# 7
Structure and computed PXRD pattern of ErHg6 (the PBE geometry in Alexandria; Cu Ka).
Neutral-atom scattering factors, no anomalous dispersion.

Atomic structure:
```
data_ErHg6
_chemical_formula_sum 'Er1 Hg6'
_cell_length_a 8.137
_cell_length_b 8.137
_cell_length_c 8.137
_cell_angle_alpha 36.80
_cell_angle_beta 36.80
_cell_angle_gamma 36.80
_space_group_name_H-M_alt 'P 1'
_space_group_IT_number 1
loop_
_space_group_symop_operation_xyz
'x,y,z'
loop_
_atom_site_label
_atom_site_type_symbol
_atom_site_fract_x
_atom_site_fract_y
_atom_site_fract_z
Er1 Er 0.000 0.000 0.000
Hg1 Hg 0.139 0.139 0.139
Hg2 Hg 0.282 0.282 0.282
Hg3 Hg 0.422 0.422 0.422
Hg4 Hg 0.578 0.578 0.578
Hg5 Hg 0.718 0.718 0.718
Hg6 Hg 0.861 0.861 0.861
```

Largest 8 diffraction maxima, sorted by position, 5 to 70 degrees two-theta:
| Position (°2θ) | I (rel.) |
| --- | --- |
| 23.48 | 11 |
| 34.18 | 1000 |
| 34.94 | 977 |
| 42.52 | 15 |
| 49.68 | 354 |
| 60.72 | 176 |
| 62.17 | 365 |
| 62.65 | 185 |


# 8
Structure and computed PXRD pattern of HoEr3Hg6 (the PBE geometry in Alexandria; Cu Ka).
Neutral-atom scattering factors, no anomalous dispersion.

Atomic structure:
```
data_HoEr3Hg6
_chemical_formula_sum 'Ho2 Er6 Hg12'
_cell_length_a 9.097
_cell_length_b 5.125
_cell_length_c 11.032
_cell_angle_alpha 90.00
_cell_angle_beta 106.64
_cell_angle_gamma 90.00
_space_group_name_H-M_alt 'P 1'
_space_group_IT_number 1
loop_
_space_group_symop_operation_xyz
'x,y,z'
loop_
_atom_site_label
_atom_site_type_symbol
_atom_site_fract_x
_atom_site_fract_y
_atom_site_fract_z
Ho1 Ho 0.061 0.250 0.390
Ho2 Ho 0.939 0.750 0.610
Er1 Er 0.231 0.250 0.007
Er2 Er 0.353 0.750 0.799
Er3 Er 0.482 0.250 0.612
Er4 Er 0.518 0.750 0.388
Er5 Er 0.647 0.250 0.201
Er6 Er 0.769 0.750 0.993
Hg1 Hg 0.064 0.750 0.899
Hg2 Hg 0.140 0.750 0.200
Hg3 Hg 0.163 0.250 0.689
Hg4 Hg 0.245 0.750 0.511
Hg5 Hg 0.351 0.250 0.299
Hg6 Hg 0.464 0.750 0.091
Hg7 Hg 0.536 0.250 0.909
Hg8 Hg 0.649 0.750 0.701
Hg9 Hg 0.755 0.250 0.489
Hg10 Hg 0.837 0.750 0.311
Hg11 Hg 0.860 0.250 0.800
Hg12 Hg 0.936 0.250 0.101
```

Largest 8 diffraction maxima, sorted by position, 5 to 70 degrees two-theta:
| Position (°2θ) | I (rel.) |
| --- | --- |
| 34.34 | 1000 |
| 34.80 | 682 |
| 35.02 | 343 |
| 49.81 | 240 |
| 61.15 | 151 |
| 62.19 | 178 |
| 62.39 | 125 |
| 62.67 | 127 |


# 9
Structure and computed PXRD pattern of Ho2Er3Hg2 (the PBE geometry in Alexandria; Cu Ka).
Neutral-atom scattering factors, no anomalous dispersion.

Atomic structure:
```
data_Ho2Er3Hg2
_chemical_formula_sum 'Ho2 Er3 Hg2'
_cell_length_a 5.308
_cell_length_b 5.308
_cell_length_c 8.433
_cell_angle_alpha 108.27
_cell_angle_beta 108.27
_cell_angle_gamma 59.92
_space_group_name_H-M_alt 'P 1'
_space_group_IT_number 1
loop_
_space_group_symop_operation_xyz
'x,y,z'
loop_
_atom_site_label
_atom_site_type_symbol
_atom_site_fract_x
_atom_site_fract_y
_atom_site_fract_z
Ho1 Ho 0.075 0.075 0.225
Ho2 Ho 0.925 0.925 0.775
Er1 Er 0.343 0.343 0.028
Er2 Er 0.500 0.500 0.500
Er3 Er 0.657 0.657 0.972
Hg1 Hg 0.214 0.214 0.641
Hg2 Hg 0.786 0.786 0.359
```

Largest 8 diffraction maxima, sorted by position, 5 to 70 degrees two-theta:
| Position (°2θ) | I (rel.) |
| --- | --- |
| 32.97 | 949 |
| 33.79 | 1000 |
| 47.86 | 113 |
| 47.96 | 224 |
| 58.34 | 142 |
| 59.92 | 348 |
| 60.44 | 190 |
| 69.15 | 81 |


# 10
Structure and computed PXRD pattern of HoEr5Hg6 (the PBE geometry in Alexandria; Cu Ka).
Neutral-atom scattering factors, no anomalous dispersion.

Atomic structure:
```
data_HoEr5Hg6
_chemical_formula_sum 'Ho1 Er5 Hg6'
_cell_length_a 8.269
_cell_length_b 8.269
_cell_length_c 7.399
_cell_angle_alpha 90.00
_cell_angle_beta 90.00
_cell_angle_gamma 143.29
_space_group_name_H-M_alt 'P 1'
_space_group_IT_number 1
loop_
_space_group_symop_operation_xyz
'x,y,z'
loop_
_atom_site_label
_atom_site_type_symbol
_atom_site_fract_x
_atom_site_fract_y
_atom_site_fract_z
Ho1 Ho 0.000 0.000 0.000
Er1 Er 0.000 0.000 0.500
Er2 Er 0.333 0.667 0.000
Er3 Er 0.334 0.666 0.500
Er4 Er 0.666 0.334 0.500
Er5 Er 0.667 0.333 0.000
Hg1 Hg 0.167 0.833 0.251
Hg2 Hg 0.167 0.833 0.749
Hg3 Hg 0.500 0.500 0.251
Hg4 Hg 0.500 0.500 0.749
Hg5 Hg 0.833 0.167 0.251
Hg6 Hg 0.833 0.167 0.749
```

Largest 8 diffraction maxima, sorted by position, 5 to 70 degrees two-theta:
| Position (°2θ) | I (rel.) |
| --- | --- |
| 24.09 | 13 |
| 34.31 | 1000 |
| 34.44 | 198 |
| 49.26 | 73 |
| 49.38 | 145 |
| 61.40 | 228 |
| 61.49 | 76 |
| 61.62 | 150 |


# 11
Structure and computed PXRD pattern of Ho2Er3Hg4 (the PBE geometry in Alexandria; Cu Ka).
Neutral-atom scattering factors, no anomalous dispersion.

Atomic structure:
```
data_Ho2Er3Hg4
_chemical_formula_sum 'Ho4 Er6 Hg8'
_cell_length_a 9.591
_cell_length_b 9.591
_cell_length_c 7.923
_cell_angle_alpha 90.00
_cell_angle_beta 90.00
_cell_angle_gamma 137.79
_space_group_name_H-M_alt 'P 1'
_space_group_IT_number 1
loop_
_space_group_symop_operation_xyz
'x,y,z'
loop_
_atom_site_label
_atom_site_type_symbol
_atom_site_fract_x
_atom_site_fract_y
_atom_site_fract_z
Ho1 Ho 0.095 0.905 0.912
Ho2 Ho 0.405 0.595 0.412
Ho3 Ho 0.595 0.405 0.588
Ho4 Ho 0.905 0.095 0.088
Er1 Er 0.000 0.000 0.500
Er2 Er 0.012 0.488 0.750
Er3 Er 0.488 0.012 0.250
Er4 Er 0.500 0.500 0.000
Er5 Er 0.512 0.988 0.750
Er6 Er 0.988 0.512 0.250
Hg1 Hg 0.166 0.834 0.534
Hg2 Hg 0.183 0.317 0.750
Hg3 Hg 0.317 0.183 0.250
Hg4 Hg 0.334 0.666 0.034
Hg5 Hg 0.666 0.334 0.966
Hg6 Hg 0.683 0.817 0.750
Hg7 Hg 0.817 0.683 0.250
Hg8 Hg 0.834 0.166 0.466
```

Largest 8 diffraction maxima, sorted by position, 5 to 70 degrees two-theta:
| Position (°2θ) | I (rel.) |
| --- | --- |
| 29.95 | 654 |
| 30.31 | 552 |
| 34.45 | 1000 |
| 35.44 | 345 |
| 37.76 | 417 |
| 39.94 | 274 |
| 53.03 | 235 |
| 62.37 | 282 |


# 12
Structure and computed PXRD pattern of Ho2ErHg8 (the PBE geometry in Alexandria; Cu Ka).
Neutral-atom scattering factors, no anomalous dispersion.

Atomic structure:
```
data_Ho2ErHg8
_chemical_formula_sum 'Ho2 Er1 Hg8'
_cell_length_a 8.337
_cell_length_b 8.337
_cell_length_c 7.214
_cell_angle_alpha 108.30
_cell_angle_beta 108.30
_cell_angle_gamma 34.25
_space_group_name_H-M_alt 'P 1'
_space_group_IT_number 1
loop_
_space_group_symop_operation_xyz
'x,y,z'
loop_
_atom_site_label
_atom_site_type_symbol
_atom_site_fract_x
_atom_site_fract_y
_atom_site_fract_z
Ho1 Ho 0.216 0.216 0.156
Ho2 Ho 0.784 0.784 0.844
Er1 Er 0.500 0.500 0.500
Hg1 Hg 0.030 0.030 0.231
Hg2 Hg 0.149 0.149 0.684
Hg3 Hg 0.328 0.328 0.599
Hg4 Hg 0.403 0.403 0.047
Hg5 Hg 0.597 0.597 0.953
Hg6 Hg 0.672 0.672 0.401
Hg7 Hg 0.851 0.851 0.316
Hg8 Hg 0.970 0.970 0.769
```

Largest 8 diffraction maxima, sorted by position, 5 to 70 degrees two-theta:
| Position (°2θ) | I (rel.) |
| --- | --- |
| 33.70 | 908 |
| 34.13 | 1000 |
| 36.60 | 421 |
| 39.01 | 309 |
| 42.29 | 237 |
| 54.56 | 236 |
| 57.14 | 198 |
| 64.32 | 165 |


> What is the formula in the second record?

Er7Tm12Hf